(1)
Starting from a DFT-relaxed cell (GGA-PBE, Alexandria), the powder diffractogram of Fe6Co5Ir was computed for Cu Kα X-rays.
Lines closer than 0.1° are merged.

The 12 most intense peaks (2θ = 5–70°), low angle first:
- 2θ = 14.51°, I 5.0
- 2θ = 17.03°, I 6.8
- 2θ = 23.00°, I 3.8
- 2θ = 26.81°, I 5.7
- 2θ = 30.61°, I 4.8
- 2θ = 31.06°, I 4.0
- 2θ = 39.01°, I 2.3
- 2θ = 40.10°, I 3.4
- 2θ = 44.50°, I 100.0
- 2θ = 47.96°, I 2.2
- 2θ = 52.72°, I 2.9
- 2θ = 64.75°, I 15.1

Atomic structure:
Cell lengths 7.050, 7.050, 7.050 Å; angles 146.40, 131.80, 60.04 degrees
Positions (direct):
1 Fe 0.073 0.329 0.744
2 Fe 0.238 0.000 0.238
3 Fe 0.415 0.671 0.744
4 Fe 0.585 0.329 0.256
5 Fe 0.762 0.000 0.762
6 Fe 0.927 0.671 0.256
7 Co 0.000 0.500 0.500
8 Co 0.168 0.168 0.000
9 Co 0.335 0.835 0.500
10 Co 0.665 0.165 0.500
11 Co 0.832 0.832 0.000
12 Ir 0.500 0.500 0.000

(2)
Starting from a DFT-relaxed cell (GGA-PBE, Alexandria), the powder diffractogram of Fe2CoIr8 was computed for Cu Kα X-rays.
Lines closer than 0.1° are merged.

The 12 most intense peaks (2θ = 5–70°), low angle first:
- 2θ = 26.31°, I 24.2
- 2θ = 28.96°, I 20.0
- 2θ = 29.47°, I 11.5
- 2θ = 31.60°, I 21.9
- 2θ = 36.62°, I 33.8
- 2θ = 41.89°, I 80.5
- 2θ = 42.99°, I 100.0
- 2θ = 44.06°, I 44.8
- 2θ = 44.70°, I 46.0
- 2θ = 54.92°, I 12.0
- 2θ = 58.51°, I 10.5
- 2θ = 64.57°, I 28.8

Atomic structure:
Cell lengths 6.314, 6.314, 4.054 Å; angles 90.00, 90.00, 102.43 degrees
Positions (direct):
1 Fe 0.117 0.883 0.000
2 Fe 0.883 0.117 0.000
3 Co 0.500 0.500 0.500
4 Ir 0.164 0.164 0.500
5 Ir 0.200 0.468 0.000
6 Ir 0.246 0.754 0.500
7 Ir 0.468 0.200 0.000
8 Ir 0.532 0.800 0.000
9 Ir 0.754 0.246 0.500
10 Ir 0.800 0.532 0.000
11 Ir 0.836 0.836 0.500

(3)
Starting from a DFT-relaxed cell (GGA-PBE, Alexandria), the powder diffractogram of Fe2Co3Ir was computed for Cu Kα X-rays.
Lines closer than 0.1° are merged.

The 12 most intense peaks (2θ = 5–70°), low angle first:
- 2θ = 21.18°, I 11.7
- 2θ = 24.33°, I 28.3
- 2θ = 27.29°, I 22.6
- 2θ = 37.01°, I 10.8
- 2θ = 40.88°, I 21.0
- 2θ = 42.34°, I 21.2
- 2θ = 43.03°, I 6.5
- 2θ = 43.14°, I 31.6
- 2θ = 46.49°, I 100.0
- 2θ = 48.14°, I 5.4
- 2θ = 52.84°, I 10.6
- 2θ = 60.92°, I 15.6

Atomic structure:
Cell lengths 8.767, 8.767, 8.767 Å; angles 29.17, 29.17, 29.17 degrees
Positions (direct):
1 Fe 0.166 0.166 0.166
2 Fe 0.334 0.334 0.334
3 Fe 0.666 0.666 0.666
4 Fe 0.834 0.834 0.834
5 Co 0.080 0.750 0.420
6 Co 0.250 0.580 0.920
7 Co 0.420 0.080 0.750
8 Co 0.580 0.920 0.250
9 Co 0.750 0.420 0.080
10 Co 0.920 0.250 0.580
11 Ir 0.000 0.000 0.000
12 Ir 0.500 0.500 0.500

(4)
Starting from a DFT-relaxed cell (GGA-PBE, Alexandria), the powder diffractogram of Fe2Co15Ir2 was computed for Cu Kα X-rays.
Lines closer than 0.1° are merged.

The 12 most intense peaks (2θ = 5–70°), low angle first:
- 2θ = 14.56°, I 100.0
- 2θ = 31.87°, I 21.5
- 2θ = 34.64°, I 21.9
- 2θ = 38.53°, I 63.9
- 2θ = 38.92°, I 19.1
- 2θ = 39.04°, I 42.1
- 2θ = 44.68°, I 49.5
- 2θ = 44.79°, I 73.6
- 2θ = 45.13°, I 42.6
- 2θ = 45.24°, I 27.8
- 2θ = 50.01°, I 36.0
- 2θ = 50.32°, I 70.0

Atomic structure:
Cell lengths 6.207, 6.207, 6.207 Å; angles 81.38, 81.38, 81.38 degrees
Positions (direct):
1 Fe 0.168 0.168 0.168
2 Fe 0.832 0.832 0.832
3 Co 0.000 0.500 0.500
4 Co 0.146 0.146 0.661
5 Co 0.146 0.661 0.146
6 Co 0.191 0.500 0.809
7 Co 0.191 0.809 0.500
8 Co 0.339 0.854 0.854
9 Co 0.500 0.000 0.500
10 Co 0.500 0.191 0.809
11 Co 0.500 0.500 0.000
12 Co 0.500 0.809 0.191
13 Co 0.661 0.146 0.146
14 Co 0.809 0.191 0.500
15 Co 0.809 0.500 0.191
16 Co 0.854 0.339 0.854
17 Co 0.854 0.854 0.339
18 Ir 0.397 0.397 0.397
19 Ir 0.603 0.603 0.603

(5)
Starting from a DFT-relaxed cell (GGA-PBE, Alexandria), the powder diffractogram of Fe2Co17Ir2 was computed for Cu Kα X-rays.
Lines closer than 0.1° are merged.

The 12 most intense peaks (2θ = 5–70°), low angle first:
- 2θ = 21.97°, I 45.1
- 2θ = 25.08°, I 53.0
- 2θ = 32.79°, I 35.5
- 2θ = 40.72°, I 53.0
- 2θ = 41.98°, I 38.7
- 2θ = 42.25°, I 60.8
- 2θ = 43.75°, I 100.0
- 2θ = 44.81°, I 29.5
- 2θ = 47.88°, I 33.4
- 2θ = 48.57°, I 30.5
- 2θ = 48.97°, I 28.9
- 2θ = 52.73°, I 30.9

Atomic structure:
Cell lengths 6.004, 6.004, 7.842 Å; angles 104.09, 104.09, 84.72 degrees
Positions (direct):
1 Fe 0.199 0.199 0.264
2 Fe 0.801 0.801 0.736
3 Co 0.000 0.500 0.000
4 Co 0.129 0.129 0.846
5 Co 0.165 0.835 0.000
6 Co 0.189 0.699 0.320
7 Co 0.212 0.490 0.791
8 Co 0.301 0.811 0.680
9 Co 0.399 0.399 0.108
10 Co 0.490 0.212 0.791
11 Co 0.500 0.000 0.000
12 Co 0.500 0.500 0.500
13 Co 0.510 0.788 0.209
14 Co 0.601 0.601 0.892
15 Co 0.699 0.189 0.320
16 Co 0.788 0.510 0.209
17 Co 0.811 0.301 0.680
18 Co 0.835 0.165 0.000
19 Co 0.871 0.871 0.154
20 Ir 0.000 0.500 0.500
21 Ir 0.500 0.000 0.500

(6)
Starting from a DFT-relaxed cell (GGA-PBE, Alexandria), the powder diffractogram of Fe6CoIr8 was computed for Cu Kα X-rays.
Lines closer than 0.1° are merged.

The 12 most intense peaks (2θ = 5–70°), low angle first:
- 2θ = 22.11°, I 32.5
- 2θ = 29.39°, I 27.1
- 2θ = 33.43°, I 17.9
- 2θ = 38.40°, I 22.4
- 2θ = 38.80°, I 26.7
- 2θ = 40.07°, I 100.0
- 2θ = 40.45°, I 79.9
- 2θ = 44.76°, I 59.8
- 2θ = 49.41°, I 17.3
- 2θ = 52.13°, I 17.5
- 2θ = 60.69°, I 25.2
- 2θ = 63.08°, I 17.8

Atomic structure:
Cell lengths 9.285, 9.285, 2.715 Å; angles 90.00, 90.00, 120.00 degrees
Positions (direct):
1 Fe 0.090 0.482 0.250
2 Fe 0.392 0.910 0.250
3 Fe 0.482 0.392 0.750
4 Fe 0.518 0.608 0.250
5 Fe 0.608 0.090 0.750
6 Fe 0.910 0.518 0.750
7 Co 0.000 0.000 0.000
8 Ir 0.078 0.783 0.256
9 Ir 0.217 0.295 0.256
10 Ir 0.295 0.078 0.744
11 Ir 0.333 0.667 0.748
12 Ir 0.667 0.333 0.252
13 Ir 0.705 0.922 0.256
14 Ir 0.783 0.705 0.744
15 Ir 0.922 0.217 0.744

(7)
Starting from a DFT-relaxed cell (GGA-PBE, Alexandria), the powder diffractogram of FeCoIr2 was computed for Cu Kα X-rays.
Lines closer than 0.1° are merged.

The 12 most intense peaks (2θ = 5–70°), low angle first:
- 2θ = 18.20°, I 24.5
- 2θ = 28.95°, I 43.2
- 2θ = 36.88°, I 3.4
- 2θ = 41.80°, I 100.0
- 2θ = 43.54°, I 69.6
- 2θ = 43.92°, I 51.9
- 2θ = 45.56°, I 33.0
- 2θ = 49.45°, I 4.1
- 2θ = 56.66°, I 5.5
- 2θ = 58.66°, I 13.5
- 2θ = 63.56°, I 5.5
- 2θ = 65.14°, I 32.2

Atomic structure:
Cell lengths 3.982, 5.053, 5.053 Å; angles 30.60, 90.00, 90.00 degrees
Positions (direct):
1 Fe 0.000 0.000 0.000
2 Co 0.500 0.874 0.874
3 Ir 0.000 0.263 0.263
4 Ir 0.500 0.613 0.613

(8)
Starting from a DFT-relaxed cell (GGA-PBE, Alexandria), the powder diffractogram of FeCo2Ir8 was computed for Cu Kα X-rays.
Lines closer than 0.1° are merged.

The 12 most intense peaks (2θ = 5–70°), low angle first:
- 2θ = 26.33°, I 7.0
- 2θ = 30.47°, I 7.4
- 2θ = 32.50°, I 15.8
- 2θ = 35.83°, I 5.8
- 2θ = 40.74°, I 15.8
- 2θ = 40.95°, I 18.8
- 2θ = 42.30°, I 100.0
- 2θ = 46.09°, I 24.9
- 2θ = 47.14°, I 18.2
- 2θ = 54.20°, I 7.3
- 2θ = 63.18°, I 8.8
- 2θ = 68.05°, I 12.2

Atomic structure:
Cell lengths 6.985, 6.985, 6.985 Å; angles 147.25, 122.03, 68.20 degrees
Positions (direct):
1 Fe 0.000 0.000 0.000
2 Co 0.303 0.303 0.000
3 Co 0.697 0.697 0.000
4 Ir 0.127 0.844 0.283
5 Ir 0.151 0.651 0.500
6 Ir 0.302 0.500 0.802
7 Ir 0.439 0.156 0.283
8 Ir 0.561 0.844 0.717
9 Ir 0.698 0.500 0.198
10 Ir 0.849 0.349 0.500
11 Ir 0.873 0.156 0.717

(9)
Starting from a DFT-relaxed cell (GGA-PBE, Alexandria), the powder diffractogram of Fe3Co5Ir3 was computed for Cu Kα X-rays.
Lines closer than 0.1° are merged.

The 12 most intense peaks (2θ = 5–70°), low angle first:
- 2θ = 21.82°, I 71.0
- 2θ = 25.25°, I 51.5
- 2θ = 33.62°, I 33.4
- 2θ = 37.48°, I 16.1
- 2θ = 38.28°, I 43.3
- 2θ = 41.78°, I 99.7
- 2θ = 43.79°, I 46.8
- 2θ = 46.42°, I 100.0
- 2θ = 49.44°, I 44.7
- 2θ = 57.94°, I 28.7
- 2θ = 59.54°, I 29.3
- 2θ = 68.68°, I 27.7

Atomic structure:
Cell lengths 8.145, 8.145, 2.552 Å; angles 90.00, 90.00, 120.00 degrees
Positions (direct):
1 Fe 0.000 0.158 0.000
2 Fe 0.158 0.000 0.000
3 Fe 0.842 0.842 0.000
4 Co 0.000 0.672 0.000
5 Co 0.328 0.328 0.000
6 Co 0.333 0.667 0.000
7 Co 0.667 0.333 0.000
8 Co 0.672 0.000 0.000
9 Ir 0.000 0.412 0.500
10 Ir 0.412 0.000 0.500
11 Ir 0.588 0.588 0.500

(10)
Starting from a DFT-relaxed cell (GGA-PBE, Alexandria), the powder diffractogram of FeCoIrW was computed for Cu Kα X-rays.
Lines closer than 0.1° are merged.

The 9 most intense peaks (2θ = 5–70°), low angle first:
- 2θ = 24.42°, I 26.2
- 2θ = 33.84°, I 23.3
- 2θ = 42.17°, I 100.0
- 2θ = 48.21°, I 16.9
- 2θ = 48.99°, I 16.1
- 2θ = 50.05°, I 15.1
- 2θ = 54.77°, I 6.4
- 2θ = 55.48°, I 6.1
- 2θ = 61.79°, I 9.0

Atomic structure:
Cell lengths 3.645, 3.719, 3.775 Å; angles 90.00, 90.00, 90.00 degrees
Positions (direct):
1 Fe 0.000 0.000 0.000
2 Co 0.000 0.500 0.500
3 Ir 0.500 0.000 0.500
4 W 0.500 0.500 0.000

(11)
Starting from a DFT-relaxed cell (GGA-PBE, Alexandria), the powder diffractogram of KFeCo2 was computed for Cu Kα X-rays.
Lines closer than 0.1° are merged.

The 12 most intense peaks (2θ = 5–70°), low angle first:
- 2θ = 11.66°, I 100.0
- 2θ = 23.44°, I 11.1
- 2θ = 27.92°, I 8.0
- 2θ = 34.74°, I 30.0
- 2θ = 40.24°, I 6.9
- 2θ = 42.25°, I 9.2
- 2θ = 42.39°, I 41.7
- 2θ = 43.64°, I 11.9
- 2θ = 44.06°, I 15.0
- 2θ = 44.59°, I 7.1
- 2θ = 51.90°, I 11.9
- 2θ = 54.95°, I 16.0

Atomic structure:
Cell lengths 2.681, 3.523, 7.601 Å; angles 90.00, 92.84, 90.00 degrees
Positions (direct):
1 K 0.000 0.000 0.000
2 Fe 0.626 0.500 0.640
3 Co 0.116 0.000 0.482
4 Co 0.595 0.500 0.345

(12)
Starting from a DFT-relaxed cell (GGA-PBE, Alexandria), the powder diffractogram of KFe4Co was computed for Cu Kα X-rays.
Lines closer than 0.1° are merged.

The 10 most intense peaks (2θ = 5–70°), low angle first:
- 2θ = 21.62°, I 13.0
- 2θ = 25.02°, I 0.8
- 2θ = 35.67°, I 23.5
- 2θ = 42.10°, I 100.0
- 2θ = 44.06°, I 44.7
- 2θ = 51.33°, I 6.6
- 2θ = 56.33°, I 2.5
- 2θ = 57.93°, I 0.7
- 2θ = 64.08°, I 7.3
- 2θ = 68.48°, I 27.4

Atomic structure:
Cell lengths 5.034, 5.034, 5.034 Å; angles 60.00, 60.00, 60.00 degrees
Positions (direct):
1 K 0.000 0.000 0.000
2 Fe 0.376 0.376 0.376
3 Fe 0.376 0.376 0.871
4 Fe 0.376 0.871 0.376
5 Fe 0.871 0.376 0.376
6 Co 0.750 0.750 0.750